# Th5Fe2Hg2
Simulated powder X-ray diffraction pattern, a wavelength of 1.5418 Å. Input: DFT lattice parameters and positions (GGA-PBE).
Peak positions follow from Bragg's law for the DFT cell and can differ from measured ones.

Structure:
Cell lengths 16.1916, 7.0760, 8.3134 Å; angles 90.00, 90.00, 90.00 degrees
Space group Cmce (No. 64)
Unique sites:
Th (0.0000, 0.0000, 0.0000) (multiplicity 4)
Th (0.1118, 0.1486, 0.3252) (multiplicity 16)
Fe (0.0000, 0.1588, 0.6073) (multiplicity 8)
Hg (0.2174, 0.0000, 0.0000) (multiplicity 8)

Main lines, in order of rising 2θ (10 to 90 degrees two-theta):
- hkl 0 2 1, 27.40°, rel. 62
- hkl 4 0 2, 30.83°, rel. 100
- hkl 5 1 1, 32.25°, rel. 94
- hkl 0 2 2, 33.25°, rel. 49
- hkl 4 2 0, 33.64°, rel. 37
- hkl 1 1 3, 35.22°, rel. 73
- hkl 4 2 1, 35.38°, rel. 83
- hkl 5 1 2, 37.43°, rel. 47
- hkl 1 3 1, 40.14°, rel. 57
- hkl 5 3 3, 58.79°, rel. 54